No. 1
Diffraction record for Dy3Co3Bi. The powder XRD pattern is theoretical, not measured: it uses a GGA-PBE-relaxed structure and Cu Kα X-rays.
Kinematic intensities with the Lorentz-polarization factor, no thermal factor.

Atomic structure:
```
data_Dy3Co3Bi
_chemical_formula_sum 'Dy6 Co6 Bi2'
_space_group_name_H-M_alt 'P 1'
_space_group_IT_number 1
_space_group_name_Hall 'P 1'
_cell_length_a 9.219
_cell_length_b 9.219
_cell_length_c 4.209
_cell_angle_alpha 90.00
_cell_angle_beta 90.00
_cell_angle_gamma 120.00
loop_
_atom_site_label
_atom_site_fract_x
_atom_site_fract_y
_atom_site_fract_z
Dy1 0.075 0.692 0.250
Dy2 0.308 0.383 0.250
Dy3 0.383 0.075 0.750
Dy4 0.617 0.925 0.250
Dy5 0.692 0.617 0.750
Dy6 0.925 0.308 0.750
Co1 0.020 0.864 0.750
Co2 0.136 0.156 0.750
Co3 0.156 0.020 0.250
Co4 0.844 0.980 0.750
Co5 0.864 0.844 0.250
Co6 0.980 0.136 0.250
Bi1 0.333 0.667 0.750
Bi2 0.667 0.333 0.250
```

The 6 most intense peaks (15 to 90 degrees two-theta), low angle first:
28.72°, d = 3.108 Å, rel. 96
29.60°, d = 3.018 Å, rel. 61
30.87°, d = 2.896 Å, rel. 95
33.68°, d = 2.661 Å, rel. 56
36.64°, d = 2.452 Å, rel. 100
54.65°, d = 1.680 Å, rel. 55

No. 2
Diffraction record for CuRhF6. The powder XRD pattern is theoretical, not measured: it uses a GGA-PBE-relaxed structure and Cu Kα X-rays.
Kinematic intensities with the Lorentz-polarization factor, no thermal factor.

Atomic structure:
```
data_CuRhF6
_chemical_formula_sum 'Cu2 Rh2 F12'
_space_group_name_H-M_alt 'P 1'
_space_group_IT_number 1
_space_group_name_Hall 'P 1'
_cell_length_a 4.921
_cell_length_b 4.921
_cell_length_c 9.227
_cell_angle_alpha 90.00
_cell_angle_beta 90.00
_cell_angle_gamma 120.00
loop_
_atom_site_label
_atom_site_fract_x
_atom_site_fract_y
_atom_site_fract_z
Cu1 0.333 0.667 0.250
Cu2 0.667 0.333 0.750
Rh1 0.000 0.000 0.000
Rh2 0.000 0.000 0.500
F1 0.008 0.330 0.123
F2 0.008 0.678 0.377
F3 0.322 0.330 0.377
F4 0.322 0.992 0.123
F5 0.330 0.008 0.623
F6 0.330 0.322 0.877
F7 0.670 0.678 0.123
F8 0.670 0.992 0.377
F9 0.678 0.008 0.877
F10 0.678 0.670 0.623
F11 0.992 0.322 0.623
F12 0.992 0.670 0.877
```

The 6 most intense peaks (15 to 90 degrees two-theta), low angle first:
20.84°, d = 4.262 Å, rel. 31
22.99°, d = 3.869 Å, rel. 34
28.51°, d = 3.131 Å, rel. 100
46.97°, d = 1.934 Å, rel. 25
54.53°, d = 1.683 Å, rel. 41
60.92°, d = 1.521 Å, rel. 22

No. 3
Diffraction record for CaScBO4. The powder XRD pattern is theoretical, not measured: it uses a GGA-PBE-relaxed structure and Cu Kα X-rays.
Kinematic intensities with the Lorentz-polarization factor, no thermal factor.

Atomic structure:
```
data_CaScBO4
_chemical_formula_sum 'Ca2 Sc2 B2 O8'
_space_group_name_H-M_alt 'P 1'
_space_group_IT_number 1
_space_group_name_Hall 'P 1'
_cell_length_a 4.889
_cell_length_b 5.127
_cell_length_c 6.276
_cell_angle_alpha 90.00
_cell_angle_beta 107.49
_cell_angle_gamma 90.00
loop_
_atom_site_label
_atom_site_fract_x
_atom_site_fract_y
_atom_site_fract_z
Ca1 0.208 0.250 0.426
Ca2 0.792 0.750 0.574
Sc1 0.288 0.250 0.958
Sc2 0.712 0.750 0.042
B1 0.263 0.750 0.184
B2 0.737 0.250 0.816
O1 0.074 0.750 0.331
O2 0.087 0.750 0.945
O3 0.462 0.521 0.225
O4 0.462 0.979 0.225
O5 0.538 0.021 0.775
O6 0.538 0.479 0.775
O7 0.913 0.250 0.055
O8 0.926 0.250 0.669
```

The 6 most intense peaks (15 to 90 degrees two-theta), low angle first:
25.83°, d = 3.450 Å, rel. 100
35.02°, d = 2.562 Å, rel. 87
41.32°, d = 2.185 Å, rel. 48
44.26°, d = 2.047 Å, rel. 45
46.65°, d = 1.947 Å, rel. 45
46.93°, d = 1.936 Å, rel. 42